[1]
Calculated powder diffractogram
Compound: PtBr2Cl2
Radiation: copper Kα
Structure: a cell relaxed with PBE

Largest 10 diffraction maxima, in order of falling intensity, 2θ from 10° to 80°:
d [Å], I/Imax
6.221, 1000
2.836, 735
5.648, 567
4.040, 483
2.249, 271
2.646, 250
2.161, 249
1.815, 208
2.255, 197
2.394, 151

Crystal structure
```
data_PtBr2Cl2
_cell_length_a 11.324
_cell_length_b 7.496
_cell_length_c 8.118
_cell_angle_alpha 90.00
_cell_angle_beta 129.97
_cell_angle_gamma 90.00
_space_group_name_H-M_alt 'C 1 2/m 1'
_space_group_IT_number 12
loop_
_space_group_symop_operation_xyz
'x,y,z'
'-x,-y,-z'
'-x,y,-z'
'x,-y,z'
'x+1/2,y+1/2,z'
'-x+1/2,-y+1/2,-z'
'-x+1/2,y+1/2,-z'
'x+1/2,-y+1/2,z'
loop_
_atom_site_label
_atom_site_type_symbol
_atom_site_fract_x
_atom_site_fract_y
_atom_site_fract_z
Pt1 Pt 0.000 0.250 0.000
Br1 Br 0.193 0.000 0.173
Br2 Br 0.194 0.500 0.173
Cl1 Cl 0.000 0.251 0.289
```



[2]
Calculated powder diffractogram
Compound: Tl2PtBr3Cl
Radiation: copper Kα
Structure: a cell relaxed with PBE

Largest 10 diffraction maxima, in order of falling intensity, 2θ from 10° to 80°:
d [Å], I/Imax
3.391, 1000
7.451, 761
2.840, 711
3.352, 699
2.673, 547
2.062, 489
2.597, 441
2.090, 355
3.780, 347
1.863, 314

Crystal structure
```
data_Tl2PtBr3Cl
_cell_length_a 4.387
_cell_length_b 10.388
_cell_length_c 10.693
_cell_angle_alpha 90.00
_cell_angle_beta 90.00
_cell_angle_gamma 90.00
_space_group_name_H-M_alt 'A m m 2'
_space_group_IT_number 38
loop_
_space_group_symop_operation_xyz
'x,y,z'
'-x,-y,z'
'-x,y,z'
'x,-y,z'
'x,y+1/2,z+1/2'
'-x,-y+1/2,z+1/2'
'-x,y+1/2,z+1/2'
'x,-y+1/2,z+1/2'
loop_
_atom_site_label
_atom_site_type_symbol
_atom_site_fract_x
_atom_site_fract_y
_atom_site_fract_z
Tl1 Tl 0.000 0.242 0.000
Pt1 Pt 0.500 0.000 0.249
Br1 Br 0.500 0.000 0.478
Br2 Br 0.500 0.237 0.248
Cl1 Cl 0.500 0.000 0.031
```



[3]
Calculated powder diffractogram
Compound: RbTaBr4Cl2
Radiation: copper Kα
Structure: a cell relaxed with PBE

Largest 10 diffraction maxima, in order of falling intensity, 2θ from 10° to 80°:
d [Å], I/Imax
8.046, 1000
5.232, 677
6.017, 331
4.575, 236
3.103, 225
3.392, 221
3.491, 211
2.608, 204
2.283, 178
1.823, 178

Crystal structure
```
data_RbTaBr4Cl2
_cell_length_a 5.191
_cell_length_b 31.394
_cell_length_c 9.384
_cell_angle_alpha 90.00
_cell_angle_beta 92.98
_cell_angle_gamma 90.00
_space_group_name_H-M_alt 'C 1 2/m 1'
_space_group_IT_number 12
loop_
_space_group_symop_operation_xyz
'x,y,z'
'-x,-y,-z'
'-x,y,-z'
'x,-y,z'
'x+1/2,y+1/2,z'
'-x+1/2,-y+1/2,-z'
'-x+1/2,y+1/2,-z'
'x+1/2,-y+1/2,z'
loop_
_atom_site_label
_atom_site_type_symbol
_atom_site_fract_x
_atom_site_fract_y
_atom_site_fract_z
Rb1 Rb 0.000 0.079 0.000
Ta1 Ta 0.250 0.250 0.500
Br1 Br 0.014 0.205 0.687
Br2 Br 0.138 0.093 0.612
Cl1 Cl 0.023 0.391 0.170
```



[4]
Calculated powder diffractogram
Compound: Tb2S2BrCl
Radiation: copper Kα
Structure: a cell relaxed with PBE

Largest 10 diffraction maxima, in order of falling intensity, 2θ from 10° to 80°:
d [Å], I/Imax
4.560, 1000
2.947, 892
8.573, 885
1.988, 577
2.143, 561
3.032, 413
2.693, 370
3.668, 218
1.854, 175
2.029, 159

Crystal structure
```
data_Tb2S2BrCl
_cell_length_a 4.059
_cell_length_b 5.385
_cell_length_c 8.573
_cell_angle_alpha 90.00
_cell_angle_beta 90.00
_cell_angle_gamma 90.00
_space_group_name_H-M_alt 'P m m 2'
_space_group_IT_number 25
loop_
_space_group_symop_operation_xyz
'x,y,z'
'-x,-y,z'
'-x,y,z'
'x,-y,z'
loop_
_atom_site_label
_atom_site_type_symbol
_atom_site_fract_x
_atom_site_fract_y
_atom_site_fract_z
Tb1 Tb 0.000 0.000 0.000
Tb2 Tb 0.500 0.500 0.271
S1 S 0.000 0.500 0.054
S2 S 0.500 0.000 0.219
Br1 Br 0.000 0.500 0.502
Cl1 Cl 0.500 0.000 0.795
```